[1]
Starting from the GGA-PBE geometry in Alexandria, the powder diffractogram of PrY3B4O12 was simulated for Cu Kα X-rays.

Largest 12 diffraction maxima, in order of rising 2θ, 2θ from 5° to 70°:
d 5.102, I = 101; d 3.930, I = 783; d 3.113, I = 139; d 3.081, I = 1000; d 2.551, I = 278; d 2.140, I = 205; d 2.129, I = 146; d 1.965, I = 123; d 1.933, I = 241; d 1.905, I = 344; d 1.639, I = 123; d 1.557, I = 99

Structure:
```
PrY3B4O12
1.0
5.1016 2.9454 2.8661
-5.1016 2.9454 2.8661
0.0000 -5.8909 2.8661
Pr Y B O
1 3 4 12
Direct
0.0000 0.0000 0.0000
0.0000 0.5358 0.4642
0.4642 0.0000 0.5358
0.5358 0.4642 0.0000
0.0369 0.5000 0.9631
0.5000 0.5000 0.5000
0.5000 0.9631 0.0369
0.9631 0.0369 0.5000
0.0279 0.6336 0.8243
0.0984 0.9016 0.5000
0.1757 0.3664 0.9721
0.3646 0.6354 0.5000
0.3664 0.9721 0.1757
0.5000 0.0984 0.9016
0.5000 0.3646 0.6354
0.6336 0.8243 0.0279
0.6354 0.5000 0.3646
0.8243 0.0279 0.6336
0.9016 0.5000 0.0984
0.9721 0.1757 0.3664
```

---

[2]
Starting from the GGA-PBE geometry in Alexandria, the powder diffractogram of SrB4Pt3O12 was simulated for Cu Kα X-rays.

Largest 12 diffraction maxima, in order of rising 2θ, 2θ from 5° to 70°:
d 4.899, I = 432; d 3.766, I = 1000; d 2.986, I = 252; d 2.944, I = 886; d 2.450, I = 226; d 2.382, I = 148; d 2.262, I = 210; d 2.040, I = 368; d 1.842, I = 209; d 1.822, I = 242; d 1.633, I = 138; d 1.543, I = 135

Structure:
```
SrB4Pt3O12
1.0
4.8994 2.8287 2.7255
-4.8994 2.8287 2.7255
0.0000 -5.6573 2.7255
Sr B Pt O
1 4 3 12
Direct
0.0000 0.0000 0.0000
0.0557 0.5000 0.9443
0.5000 0.5000 0.5000
0.5000 0.9443 0.0557
0.9443 0.0557 0.5000
0.0000 0.5492 0.4508
0.4508 0.0000 0.5492
0.5492 0.4508 0.0000
0.0200 0.6203 0.7904
0.0909 0.9091 0.5000
0.2096 0.3797 0.9800
0.3583 0.6417 0.5000
0.3797 0.9800 0.2096
0.5000 0.0909 0.9091
0.5000 0.3583 0.6417
0.6203 0.7904 0.0200
0.6417 0.5000 0.3583
0.7904 0.0200 0.6203
0.9091 0.5000 0.0909
0.9800 0.2096 0.3797
```

---

[3]
Starting from the GGA-PBE geometry in Alexandria, the powder diffractogram of SrB2Pt2O7 was simulated for Cu Kα X-rays.

Largest 12 diffraction maxima, in order of rising 2θ, 2θ from 5° to 70°:
d 4.634, I = 315; d 4.313, I = 897; d 4.166, I = 1000; d 3.434, I = 315; d 2.938, I = 935; d 2.719, I = 208; d 2.521, I = 586; d 2.157, I = 249; d 1.953, I = 451; d 1.913, I = 215; d 1.808, I = 205; d 1.524, I = 230

Structure:
```
SrB2Pt2O7
1.0
2.5209 1.4554 9.2679
-2.5209 1.4554 9.2679
0.0000 -2.9109 9.2679
Sr B Pt O
1 2 2 7
Direct
0.0000 0.0000 0.0000
0.2724 0.2724 0.2724
0.7276 0.7276 0.7276
0.4342 0.4342 0.4342
0.5658 0.5658 0.5658
0.0101 0.4627 0.7037
0.2963 0.5373 0.9899
0.4627 0.7037 0.0101
0.5000 0.5000 0.5000
0.5373 0.9899 0.2963
0.7037 0.0101 0.4627
0.9899 0.2963 0.5373
```

---

[4]
Starting from the GGA-PBE geometry in Alexandria, the powder diffractogram of Rb4BO4 was simulated for Cu Kα X-rays.

Largest 12 diffraction maxima, in order of rising 2θ, 2θ from 5° to 70°:
d 4.157, I = 127; d 3.057, I = 1000; d 2.685, I = 275; d 2.629, I = 439; d 2.255, I = 51; d 2.119, I = 118; d 1.888, I = 72; d 1.879, I = 311; d 1.859, I = 82; d 1.613, I = 147; d 1.588, I = 271; d 1.529, I = 89

Structure:
```
Rb4BO4
1.0
-4.1573 4.1573 2.6849
4.1573 -4.1573 2.6849
4.1573 4.1573 -2.6849
Rb B O
4 1 4
Direct
0.1123 0.7158 0.8281
0.2842 0.1123 0.3965
0.7158 0.8877 0.6035
0.8877 0.2842 0.1719
0.5000 0.5000 0.0000
0.3158 0.4527 0.7685
0.4527 0.6842 0.1369
0.5473 0.3158 0.8631
0.6842 0.5473 0.2315
```